For LaPrDyS3, the GGA-PBE geometry in Alexandria gives the calculated powder diffraction line list in this record (a wavelength of 1.5418 Å).
Kinematic intensities with the Lorentz-polarization factor, no thermal factor.

Principal peaks in the range 2θ = 15–90°, by angle:
- hkl 2 0 -1, 3.469 Å, 25.7°, I = 51
- hkl 1 0 -3, 3.396 Å, 26.2°, I = 20
- hkl 1 1 1, 3.152 Å, 28.3°, I = 94
- hkl 1 1 -2, 3.012 Å, 29.7°, I = 100
- hkl 1 0 3, 2.850 Å, 31.4°, I = 20
- hkl 2 0 2, 2.607 Å, 34.4°, I = 28
- hkl 2 1 1, 2.418 Å, 37.2°, I = 21
- hkl 0 1 4, 2.170 Å, 41.6°, I = 22
- hkl 0 2 0, 1.979 Å, 45.9°, I = 25
- hkl 3 1 0, 1.972 Å, 46.0°, I = 36

Structural model:
a = 6.9944 Å, b = 3.9574 Å, c = 10.6314 Å
α = 90.00°, β = 102.42°, γ = 90.00°
Space group P2_1/m (No. 11)
Symmetry-distinct sites (fractional):
La (0.1503, 0.2500, 0.1975) x2
Pr (0.3735, 0.2500, 0.8666) x2
Dy (0.2676, 0.7500, 0.5551) x2
S (0.0453, 0.2500, 0.6524) x2
S (0.2160, 0.7500, 0.0077) x2
S (0.4486, 0.7500, 0.3504) x2


For LaPr4Dy3S8, the GGA-PBE geometry in Alexandria gives the calculated powder diffraction line list in this record (a wavelength of 1.5418 Å).
Kinematic intensities with the Lorentz-polarization factor, no thermal factor.

Principal peaks in the range 2θ = 15–90°, by angle:
- hkl 0 0 6, 3.327 Å, 26.8°, I = 20
- hkl 2 0 2, 3.289 Å, 27.1°, I = 57
- hkl 0 2 4, 2.856 Å, 31.3°, I = 100
- hkl 2 0 8, 2.029 Å, 44.7°, I = 36
- hkl 2 2 0, 2.011 Å, 45.1°, I = 36
- hkl 2 2 6, 1.721 Å, 53.2°, I = 19
- hkl 4 0 4, 1.644 Å, 55.9°, I = 19
- hkl 2 2 12, 1.282 Å, 73.9°, I = 16
- hkl 2 4 4, 1.273 Å, 74.5°, I = 16
- hkl 4 2 8, 1.164 Å, 82.9°, I = 12

Structural model:
a = 8.0450 Å, b = 8.0450 Å, c = 19.9615 Å
α = 90.00°, β = 90.00°, γ = 120.00°
Space group R-3m (No. 166, hexagonal axes)
Symmetry-distinct sites (fractional):
La (0.0000, 0.0000, 0.0000) x3
Pr (0.0000, 0.0000, 0.5000) x3
Pr (0.0000, 0.5000, 0.5000) x9
Dy (0.0000, 0.5000, 0.0000) x9
S (0.0000, 0.0000, 0.2565) x6
S (0.0094, 0.5047, 0.2545) x18


For LaPrSm2Dy4, the GGA-PBE geometry in Alexandria gives the calculated powder diffraction line list in this record (a wavelength of 1.5418 Å).
Kinematic intensities with the Lorentz-polarization factor, no thermal factor.

Principal peaks in the range 2θ = 15–90°, by angle:
- hkl 4 0 0, 2.951 Å, 30.3°, I = 100
- hkl 0 0 4, 2.931 Å, 30.5°, I = 33
- hkl 2 2 2, 2.551 Å, 35.2°, I = 67
- hkl 0 4 0, 1.809 Å, 50.5°, I = 24
- hkl 4 0 4, 1.800 Å, 50.7°, I = 24
- hkl 4 4 0, 1.542 Å, 60.0°, I = 14
- hkl 6 2 2, 1.539 Å, 60.1°, I = 29
- hkl 2 2 6, 1.534 Å, 60.4°, I = 14
- hkl 8 0 0, 1.476 Å, 63.0°, I = 12
- hkl 10 2 -2, 1.174 Å, 82.1°, I = 12

Structural model:
a = 12.5294 Å, b = 7.2369 Å, c = 12.4460 Å
α = 90.00°, β = 109.61°, γ = 90.00°
Space group C2/m (No. 12)
Symmetry-distinct sites (fractional):
La (0.2500, 0.2500, 0.0000) x4
Pr (0.0000, 0.0000, 0.0000) x2
Pr (0.0000, 0.0000, 0.5000) x2
Sm (0.0000, 0.5000, 0.0000) x2
Sm (0.0000, 0.5000, 0.5000) x2
Sm (0.2500, 0.2500, 0.5000) x4
Dy (0.0007, 0.2504, 0.2516) x8
Dy (0.2492, 0.5000, 0.7476) x4
Dy (0.2499, 0.0000, 0.7480) x4


For LaPr2Sm2Dy2, the GGA-PBE geometry in Alexandria gives the calculated powder diffraction line list in this record (a wavelength of 1.5418 Å).
Kinematic intensities with the Lorentz-polarization factor, no thermal factor.

Principal peaks in the range 2θ = 15–90°, by angle:
- hkl 1 1 1, 3.180 Å, 28.1°, I = 55
- hkl 2 0 -4, 2.976 Å, 30.0°, I = 85
- hkl 4 0 -1, 2.962 Å, 30.2°, I = 73
- hkl 1 1 2, 2.805 Å, 31.9°, I = 100
- hkl 2 0 3, 2.751 Å, 32.6°, I = 58
- hkl 3 1 -2, 2.591 Å, 34.6°, I = 72
- hkl 3 1 -3, 2.413 Å, 37.3°, I = 29
- hkl 5 1 1, 1.795 Å, 50.9°, I = 36
- hkl 1 1 -6, 1.738 Å, 52.7°, I = 24
- hkl 2 2 -4, 1.533 Å, 60.4°, I = 44

Structural model:
a = 11.8988 Å, b = 3.5795 Å, c = 12.1072 Å
α = 90.00°, β = 109.49°, γ = 90.00°
Space group C2/m (No. 12)
Symmetry-distinct sites (fractional):
La (0.0000, 0.0000, 0.0000) x2
Pr (0.1677, 0.5000, 0.5826) x4
Sm (0.0523, 0.5000, 0.2705) x4
Dy (0.2236, 0.0000, 0.8625) x4


For LaTbPr2Dy2, the GGA-PBE geometry in Alexandria gives the calculated powder diffraction line list in this record (a wavelength of 1.5418 Å).
Kinematic intensities with the Lorentz-polarization factor, no thermal factor.

Principal peaks in the range 2θ = 15–90°, by angle:
- hkl 2 2 0, 2.893 Å, 30.9°, I = 100
- hkl 0 3 1, 2.881 Å, 31.0°, I = 75
- hkl 0 0 2, 2.870 Å, 31.2°, I = 37
- hkl 2 3 1, 2.236 Å, 40.3°, I = 13
- hkl 2 4 0, 2.043 Å, 44.3°, I = 12
- hkl 2 2 2, 2.038 Å, 44.4°, I = 25
- hkl 0 6 0, 1.666 Å, 55.1°, I = 33
- hkl 0 3 3, 1.660 Å, 55.3°, I = 28
- hkl 4 3 1, 1.512 Å, 61.3°, I = 32
- hkl 4 3 3, 1.213 Å, 79.0°, I = 10

Structural model:
a = 7.1064 Å, b = 9.9912 Å, c = 5.7405 Å
α = 90.00°, β = 90.00°, γ = 90.00°
Space group Pnnm (No. 58)
Symmetry-distinct sites (fractional):
La (0.0000, 0.0000, 0.0000) x2
Tb (0.0000, 0.5000, 0.5000) x2
Pr (0.2475, 0.3330, 0.0000) x4
Dy (0.2504, 0.1664, 0.5000) x4


For La4TbPr2Dy, the GGA-PBE geometry in Alexandria gives the calculated powder diffraction line list in this record (a wavelength of 1.5418 Å).
Kinematic intensities with the Lorentz-polarization factor, no thermal factor.

Principal peaks in the range 2θ = 15–90°, by angle:
- hkl 1 1 2, 3.009 Å, 29.7°, I = 100
- hkl 0 2 0, 2.633 Å, 34.1°, I = 17
- hkl 2 0 0, 2.613 Å, 34.3°, I = 17
- hkl 0 0 4, 2.574 Å, 34.9°, I = 16
- hkl 2 2 0, 1.855 Å, 49.1°, I = 12
- hkl 0 2 4, 1.841 Å, 49.5°, I = 12
- hkl 1 3 2, 1.583 Å, 58.3°, I = 15
- hkl 3 1 2, 1.574 Å, 58.6°, I = 15
- hkl 1 1 6, 1.558 Å, 59.3°, I = 14
- hkl 2 2 4, 1.505 Å, 61.6°, I = 12

Structural model:
a = 5.2255 Å, b = 5.2659 Å, c = 10.2970 Å
α = 90.00°, β = 90.09°, γ = 90.00°
Space group P2/m (No. 10)
Symmetry-distinct sites (fractional):
La (0.9998, 0.0000, 0.2502) x2
La (0.4992, 0.5000, 0.2493) x2
Tb (0.5000, 0.0000, 0.5000) x1
Pr (0.0000, 0.5000, 0.5000) x1
Pr (0.5000, 0.0000, 0.0000) x1
Dy (0.0000, 0.5000, 0.0000) x1


For LaTbPrDy3, the GGA-PBE geometry in Alexandria gives the calculated powder diffraction line list in this record (a wavelength of 1.5418 Å).
Kinematic intensities with the Lorentz-polarization factor, no thermal factor.

Principal peaks in the range 2θ = 15–90°, by angle:
- hkl 0 0 2, 3.537 Å, 25.2°, I = 15
- hkl 6 0 0, 3.347 Å, 26.6°, I = 14
- hkl 5 1 -1, 2.975 Å, 30.0°, I = 100
- hkl 4 0 -2, 2.898 Å, 30.9°, I = 15
- hkl 0 2 0, 2.838 Å, 31.5°, I = 57
- hkl 3 1 2, 2.739 Å, 32.7°, I = 78
- hkl 7 1 0, 2.561 Å, 35.0°, I = 30
- hkl 6 2 0, 2.165 Å, 41.7°, I = 16
- hkl 5 3 1, 1.663 Å, 55.2°, I = 13
- hkl 3 3 2, 1.619 Å, 56.9°, I = 16

Structural model:
a = 20.0854 Å, b = 5.6751 Å, c = 7.0744 Å
α = 90.00°, β = 90.27°, γ = 90.00°
Space group C2/m (No. 12)
Symmetry-distinct sites (fractional):
La (0.1462, 0.0000, 0.0346) x4
Tb (0.1497, 0.0000, 0.4633) x4
Pr (0.0541, 0.5000, 0.2635) x4
Dy (0.0232, 0.0000, 0.7410) x4
Dy (0.1658, 0.5000, 0.7350) x4
Dy (0.2208, 0.5000, 0.2457) x4


For LaTb2Pr3Dy6, the GGA-PBE geometry in Alexandria gives the calculated powder diffraction line list in this record (a wavelength of 1.5418 Å).
Kinematic intensities with the Lorentz-polarization factor, no thermal factor.

Principal peaks in the range 2θ = 15–90°, by angle:
- hkl 1 3 1, 2.948 Å, 30.3°, I = 100
- hkl 0 0 4, 2.929 Å, 30.5°, I = 33
- hkl 2 0 2, 2.549 Å, 35.2°, I = 67
- hkl 0 6 0, 1.807 Å, 50.5°, I = 24
- hkl 1 3 5, 1.798 Å, 50.8°, I = 24
- hkl 4 0 0, 1.541 Å, 60.1°, I = 14
- hkl 3 3 3, 1.538 Å, 60.2°, I = 29
- hkl 2 0 6, 1.532 Å, 60.4°, I = 14
- hkl 2 6 2, 1.474 Å, 63.1°, I = 12
- hkl 4 6 0, 1.172 Å, 82.2°, I = 12

Structural model:
a = 6.2591 Å, b = 10.8417 Å, c = 11.8979 Å
α = 90.00°, β = 100.08°, γ = 90.00°
Space group C2/m (No. 12)
Symmetry-distinct sites (fractional):
La (0.0000, 0.0000, 0.0000) x2
Tb (0.0000, 0.3333, 0.0000) x4
Pr (0.0000, 0.1671, 0.5000) x4
Pr (0.0000, 0.5000, 0.5000) x2
Dy (0.2485, 0.5000, 0.2484) x4
Dy (0.2503, 0.1672, 0.2483) x8


For LaPrDy2Th, the GGA-PBE geometry in Alexandria gives the calculated powder diffraction line list in this record (a wavelength of 1.5418 Å).
Kinematic intensities with the Lorentz-polarization factor, no thermal factor.

Principal peaks in the range 2θ = 15–90°, by angle:
- hkl 0 0 2, 3.139 Å, 28.4°, I = 33
- hkl 1 2 0, 3.057 Å, 29.2°, I = 67
- hkl 2 1 1, 2.885 Å, 31.0°, I = 55
- hkl 3 0 0, 2.838 Å, 31.5°, I = 100
- hkl 0 1 2, 2.831 Å, 31.6°, I = 39
- hkl 3 1 0, 2.605 Å, 34.4°, I = 37
- hkl 2 2 0, 2.597 Å, 34.5°, I = 52
- hkl 1 1 2, 2.541 Å, 35.3°, I = 48
- hkl 3 1 -2, 2.237 Å, 40.3°, I = 44
- hkl 2 3 2, 1.584 Å, 58.3°, I = 42

Structural model:
a = 8.7280 Å, b = 6.5504 Å, c = 6.4325 Å
α = 90.00°, β = 102.60°, γ = 90.00°
Space group P2/c (No. 13)
Symmetry-distinct sites (fractional):
La (0.0000, 0.0000, 0.0000) x2
Pr (0.5000, 0.1647, 0.2500) x2
Dy (0.3142, 0.3333, 0.6809) x4
Th (0.0000, 0.4534, 0.2500) x2


For La3PrDy2Tm6, the GGA-PBE geometry in Alexandria gives the calculated powder diffraction line list in this record (a wavelength of 1.5418 Å).
Kinematic intensities with the Lorentz-polarization factor, no thermal factor.

Principal peaks in the range 2θ = 15–90°, by angle:
- hkl 1 3 1, 2.926 Å, 30.6°, I = 100
- hkl 0 0 4, 2.893 Å, 30.9°, I = 32
- hkl 2 0 2, 2.527 Å, 35.5°, I = 67
- hkl 0 6 0, 1.794 Å, 50.9°, I = 24
- hkl 1 3 5, 1.779 Å, 51.4°, I = 23
- hkl 4 0 0, 1.529 Å, 60.5°, I = 14
- hkl 3 3 3, 1.525 Å, 60.7°, I = 28
- hkl 2 0 6, 1.515 Å, 61.2°, I = 14
- hkl 2 6 2, 1.463 Å, 63.6°, I = 12
- hkl 4 6 0, 1.164 Å, 83.0°, I = 12

Structural model:
a = 6.2159 Å, b = 10.7634 Å, c = 11.7555 Å
α = 90.00°, β = 100.14°, γ = 90.00°
Space group C2/m (No. 12)
Symmetry-distinct sites (fractional):
La (0.0000, 0.0000, 0.0000) x2
La (0.0000, 0.3334, 0.0000) x4
Pr (0.0000, 0.5000, 0.5000) x2
Dy (0.0000, 0.1668, 0.5000) x4
Tm (0.2480, 0.0000, 0.7462) x4
Tm (0.2490, 0.3330, 0.7462) x8


For LaPrDy2Tm, the GGA-PBE geometry in Alexandria gives the calculated powder diffraction line list in this record (a wavelength of 1.5418 Å).
Kinematic intensities with the Lorentz-polarization factor, no thermal factor.

Principal peaks in the range 2θ = 15–90°, by angle:
- hkl 0 2 0, 5.798 Å, 15.3°, I = 16
- hkl 2 2 0, 3.424 Å, 26.0°, I = 40
- hkl 1 1 2, 3.192 Å, 27.9°, I = 24
- hkl 0 2 2, 3.064 Å, 29.1°, I = 48
- hkl 0 4 0, 2.899 Å, 30.8°, I = 47
- hkl 2 0 2, 2.748 Å, 32.6°, I = 100
- hkl 1 3 2, 2.519 Å, 35.6°, I = 42
- hkl 3 3 0, 2.282 Å, 39.5°, I = 33
- hkl 2 4 2, 1.995 Å, 45.5°, I = 50
- hkl 6 0 0, 1.415 Å, 66.0°, I = 20

Structural model:
a = 8.4839 Å, b = 11.5959 Å, c = 7.2175 Å
α = 90.00°, β = 90.00°, γ = 90.00°
Space group Cmcm (No. 63)
Symmetry-distinct sites (fractional):
La (0.0000, 0.2353, 0.2500) x4
Pr (0.0000, 0.4997, 0.2500) x4
Dy (0.1861, 0.0000, 0.0000) x8
Tm (0.0000, 0.2170, 0.7500) x4


For La6PrDyTm2, the GGA-PBE geometry in Alexandria gives the calculated powder diffraction line list in this record (a wavelength of 1.5418 Å).
Kinematic intensities with the Lorentz-polarization factor, no thermal factor.

Principal peaks in the range 2θ = 15–90°, by angle:
- hkl 1 1 2, 3.333 Å, 26.8°, I = 42
- hkl 2 2 0, 3.030 Å, 29.5°, I = 58
- hkl 2 2 -1, 2.983 Å, 30.0°, I = 100
- hkl 3 1 -2, 2.927 Å, 30.5°, I = 52
- hkl 0 0 3, 2.894 Å, 30.9°, I = 44
- hkl 3 1 1, 2.877 Å, 31.1°, I = 72
- hkl 0 2 2, 2.783 Å, 32.2°, I = 53
- hkl 1 1 -3, 2.753 Å, 32.5°, I = 72
- hkl 4 0 -2, 2.622 Å, 34.2°, I = 35
- hkl 6 2 -2, 1.653 Å, 55.6°, I = 37

Structural model:
a = 11.3471 Å, b = 7.2529 Å, c = 8.9284 Å
α = 90.00°, β = 103.50°, γ = 90.00°
Space group C2/m (No. 12)
Symmetry-distinct sites (fractional):
La (0.1400, 0.0000, 0.4411) x4
La (0.1775, 0.2799, 0.8007) x8
Pr (0.0000, 0.0000, 0.0000) x2
Dy (0.0000, 0.5000, 0.5000) x2
Tm (0.0915, 0.5000, 0.1644) x4


For La5PrDy2Y, the GGA-PBE geometry in Alexandria gives the calculated powder diffraction line list in this record (a wavelength of 1.5418 Å).
Kinematic intensities with the Lorentz-polarization factor, no thermal factor.

Principal peaks in the range 2θ = 15–90°, by angle:
- hkl 1 3 2, 3.401 Å, 26.2°, I = 20
- hkl 1 1 3, 2.970 Å, 30.1°, I = 17
- hkl 1 5 2, 2.887 Å, 31.0°, I = 100
- hkl 2 0 0, 2.768 Å, 32.3°, I = 39
- hkl 0 8 0, 2.730 Å, 32.8°, I = 10
- hkl 0 0 4, 2.675 Å, 33.5°, I = 18
- hkl 2 0 4, 1.923 Å, 47.3°, I = 14
- hkl 0 8 4, 1.911 Å, 47.6°, I = 9
- hkl 3 5 2, 1.620 Å, 56.8°, I = 18
- hkl 1 13 2, 1.540 Å, 60.1°, I = 12

Structural model:
a = 5.5346 Å, b = 21.8400 Å, c = 10.7002 Å
α = 90.00°, β = 90.00°, γ = 90.00°
Space group Cmcm (No. 63)
Symmetry-distinct sites (fractional):
La (0.0000, 0.0000, 0.0000) x4
La (0.0000, 0.1222, 0.2500) x4
La (0.0000, 0.2211, 0.5589) x8
La (0.0000, 0.5003, 0.2500) x4
Pr (0.0000, 0.2848, 0.2500) x4
Dy (0.0000, 0.3875, 0.0017) x8
Y (0.0000, 0.1003, 0.7500) x4